Diffraction record for Hf4In2N. The powder X-ray diffraction pattern is computed, not measured: it uses DFT lattice parameters and positions (PBE) and Cu Kα X-rays.
Neutral-atom scattering factors, no anomalous dispersion.

Principal peaks in the range 15 to 90 degrees two-theta, low angle first:
two_theta, d/Å, I (rel.)
18.10, 4.901, 69
30.13, 2.966, 35
33.80, 2.652, 27
34.99, 2.565, 22
35.41, 2.535, 100
35.57, 2.524, 64
36.48, 2.463, 81
40.63, 2.220, 84
47.29, 1.922, 21
71.41, 1.321, 56

Structure:
Unit cell a=5.0477 b=20.5167 c=3.0979 alpha=90.00 beta=90.00 gamma=90.00
Space group Cmmm (No. 65)
Asymmetric unit:
Hf (0.0000, 0.0734, 0.0000) (multiplicity 4)
Hf (0.0000, 0.2032, 0.5000) (multiplicity 4)
In (0.0000, 0.3425, 0.0000) (multiplicity 4)
N (0.0000, 0.0000, 0.5000) (multiplicity 2)